For KAgPt, a structure optimized by DFT (GGA-PBE) gives the calculated PXRD pattern in this record (copper Kα).
Intensities are scaled so that the largest is 100.

Atomic structure:
abc: 4.673 5.593 6.214
angles: 91.34 111.83 90.00
Element x y z (fractional)
1 K 0.000 0.000 0.000
2 K 0.471 0.522 0.940
3 Ag 0.206 0.494 0.408
4 Ag 0.746 0.256 0.487
5 Pt 0.265 0.981 0.526
6 Pt 0.744 0.764 0.484

Top 8 peaks for 2θ from 10° to 80°, in order of rising 2θ:
d [Å]  2θ/deg  intensity
5.767  15.37  100
2.883  31.02  27
2.359  38.15  31
2.338  38.51  48
2.169  41.64  9
2.162  41.78  9
2.055  44.06  15
2.016  44.97  17

For ErSi3RuRh, a structure optimized by DFT (GGA-PBE) gives the calculated PXRD pattern in this record (copper Kα).
Intensities are scaled so that the largest is 100.

Atomic structure:
abc: 7.502 7.502 5.458
angles: 90.00 90.00 131.70
Element x y z (fractional)
1 Er 0.182 0.818 0.750
2 Er 0.818 0.182 0.250
3 Si 0.229 0.771 0.250
4 Si 0.288 0.288 0.000
5 Si 0.288 0.288 0.500
6 Si 0.712 0.712 0.000
7 Si 0.712 0.712 0.500
8 Si 0.771 0.229 0.750
9 Ru 0.066 0.934 0.250
10 Ru 0.934 0.066 0.750
11 Rh 0.392 0.608 0.250
12 Rh 0.608 0.392 0.750

Top 8 peaks for 2θ from 10° to 80°, in order of rising 2θ:
d [Å]  2θ/deg  intensity
4.268  20.81  54
3.069  29.09  71
3.041  29.37  100
2.900  30.84  42
2.729  32.81  50
2.108  42.91  37
2.040  44.42  73
1.765  51.80  51

For Pr6Ga3Rh, a structure optimized by DFT (GGA-PBE) gives the calculated PXRD pattern in this record (copper Kα).
Intensities are scaled so that the largest is 100.

Atomic structure:
abc: 5.261 9.010 12.967
angles: 90.00 113.90 90.00
Element x y z (fractional)
1 Pr 0.075 0.178 0.076
2 Pr 0.075 0.322 0.576
3 Pr 0.248 0.503 0.247
4 Pr 0.248 0.997 0.747
5 Pr 0.415 0.160 0.415
6 Pr 0.415 0.340 0.915
7 Pr 0.585 0.660 0.085
8 Pr 0.585 0.840 0.585
9 Pr 0.752 0.003 0.253
10 Pr 0.752 0.497 0.753
11 Pr 0.925 0.678 0.424
12 Pr 0.925 0.822 0.924
13 Ga 0.232 0.661 0.733
14 Ga 0.232 0.839 0.233
15 Ga 0.500 0.000 0.000
16 Ga 0.500 0.500 0.500
17 Ga 0.768 0.161 0.767
18 Ga 0.768 0.339 0.267
19 Rh 0.000 0.000 0.500
20 Rh 0.000 0.500 0.000

Top 8 peaks for 2θ from 10° to 80°, in order of rising 2θ:
d [Å]  2θ/deg  intensity
2.982  29.97  80
2.970  30.09  44
2.630  34.09  52
2.608  34.38  100
2.482  36.19  34
1.969  46.10  26
1.957  46.39  20
1.514  61.20  19

For Ca4NiPd, a structure optimized by DFT (GGA-PBE) gives the calculated PXRD pattern in this record (copper Kα).
Intensities are scaled so that the largest is 100.

Atomic structure:
abc: 8.196 8.196 6.538
angles: 108.80 108.80 111.32
Element x y z (fractional)
1 Ca 0.051 0.695 0.902
2 Ca 0.240 0.357 0.735
3 Ca 0.305 0.949 0.598
4 Ca 0.357 0.240 0.235
5 Ca 0.643 0.760 0.765
6 Ca 0.695 0.051 0.402
7 Ca 0.760 0.643 0.265
8 Ca 0.949 0.305 0.098
9 Ni 0.003 0.997 0.750
10 Ni 0.997 0.003 0.250
11 Pd 0.364 0.636 0.250
12 Pd 0.636 0.364 0.750

Top 8 peaks for 2θ from 10° to 80°, in order of rising 2θ:
d [Å]  2θ/deg  intensity
5.823  15.22  100
3.787  23.49  77
2.985  29.94  94
2.588  34.66  87
2.495  35.99  66
2.384  37.73  74
2.343  38.42  64
2.207  40.90  72

For Mn3B4W, a structure optimized by DFT (GGA-PBE) gives the calculated PXRD pattern in this record (copper Kα).
Intensities are scaled so that the largest is 100.

Atomic structure:
abc: 4.268 3.007 5.624
angles: 90.00 90.66 90.00
Element x y z (fractional)
1 Mn 0.000 0.000 0.000
2 Mn 0.243 0.500 0.654
3 Mn 0.744 0.000 0.506
4 B 0.000 0.500 0.301
5 B 0.216 0.000 0.373
6 B 0.518 0.000 0.847
7 B 0.739 0.500 0.785
8 W 0.495 0.500 0.152

Top 8 peaks for 2θ from 10° to 80°, in order of rising 2θ:
d [Å]  2θ/deg  intensity
5.623  15.76  92
4.268  20.81  51
3.419  26.07  60
2.812  31.83  51
2.458  36.55  100
2.258  39.93  62
2.247  40.13  88
2.054  44.09  91

For TlCd2In, a structure optimized by DFT (GGA-PBE) gives the calculated PXRD pattern in this record (copper Kα).
Intensities are scaled so that the largest is 100.

Atomic structure:
abc: 3.251 4.713 6.813
angles: 90.00 90.00 90.00
Element x y z (fractional)
1 Tl 0.000 0.000 0.000
2 Cd 0.000 0.000 0.492
3 Cd 0.500 0.500 0.262
4 In 0.500 0.500 0.733

Top 8 peaks for 2θ from 10° to 80°, in order of rising 2θ:
d [Å]  2θ/deg  intensity
2.761  32.43  100
2.676  33.49  93
2.353  38.24  96
1.665  55.18  43
1.437  64.89  25
1.427  65.42  13
1.415  66.05  13
1.401  66.78  24